Diffraction record for Rb2PmU3N8. The powder diffraction line list is theoretical, not measured: it uses the GGA-PBE geometry in Alexandria and λ = 1.5418 Å (Cu Kα).
No peak broadening, texture or thermal motion is included.

Cell and atoms:
```
data_Rb2PmU3N8
_cell_length_a 7.0525
_cell_length_b 7.0525
_cell_length_c 20.9552
_cell_angle_alpha 90.00
_cell_angle_beta 90.00
_cell_angle_gamma 120.00
_symmetry_space_group_name_H-M 'R 3 m'
_symmetry_Int_Tables_number 160
_symmetry_space_group_name_Hall 'R 3 -2"'
loop_
_atom_site_label
_atom_site_fract_x
_atom_site_fract_y
_atom_site_fract_z
_atom_site_occupancy
Rb1 0.0000 0.0000 0.0000 1
Rb2 0.0000 0.0000 0.3498 1
Pm1 0.0000 0.0000 0.8317 1
U1 0.1676 0.3351 0.1827 1
N1 0.0000 0.0000 0.1365 1
N2 0.0000 0.0000 0.5617 1
N3 0.0414 0.5207 0.1340 1
N4 0.1767 0.3534 0.8919 1
```

Top 10 peaks for 10° ≤ 2θ ≤ 90°, in order of falling intensity:
- (0 0 3), 2θ 12.67, intensity 100.0
- (0 2 1), 2θ 29.56, intensity 46.3
- (2 0 2), 2θ 30.49, intensity 45.2
- (0 2 4), 2θ 33.98, intensity 44.8
- (0 0 6), 2θ 25.50, intensity 34.1
- (0 2 7), 2θ 42.28, intensity 23.7
- (2 2 6), 2θ 58.66, intensity 21.4
- (2 2 0), 2θ 51.86, intensity 19.8
- (2 0 5), 2θ 36.40, intensity 19.2
- (2 0 8), 2θ 45.63, intensity 18.0